# 1
Theoretical powder diffractogram of PrEr2Mg3InGa2 for copper Kα, from DFT lattice parameters and positions (GGA-PBE).

Crystal structure
Cell: 4.5810 12.8724 7.3105 Å, 90.00 90.00 90.00°
Space group Amm2 (No. 38)
Asymmetric unit:
Pr 0.0000 0.0000 0.0000 (multiplicity 2)
Er 0.0000 0.2192 0.3438 (multiplicity 4)
Mg 0.5000 0.0000 0.3119 (multiplicity 2)
Mg 0.5000 0.1244 0.6847 (multiplicity 4)
In 0.0000 0.0000 0.5521 (multiplicity 2)
Ga 0.5000 0.1712 0.0624 (multiplicity 4)

Peak list (8 most intense, 10 to 90 degrees two-theta, in order of rising 2θ)
| h k l | d (Å) | I_rel |
| --- | --- | --- |
| 1 0 0 | 4.581 | 37 |
| 0 4 0 | 3.218 | 20 |
| 0 2 2 | 3.178 | 35 |
| 1 3 1 | 2.879 | 37 |
| 1 0 2 | 2.857 | 23 |
| 1 4 0 | 2.633 | 47 |
| 1 2 2 | 2.611 | 100 |
| 2 0 0 | 2.291 | 31 |

# 2
Theoretical powder diffractogram of Na3Ir3O8 for copper Kα, from DFT lattice parameters and positions (GGA-PBE).

Crystal structure
Cell: 8.9085 8.9085 8.9085 Å, 90.00 90.00 90.00°
Space group P4_132 (No. 213)
Asymmetric unit:
Na 0.0010 0.4990 0.5010 (multiplicity 8)
Na 0.1250 0.6250 0.8750 (multiplicity 4)
Ir 0.1210 0.3710 0.1250 (multiplicity 12)
O 0.0920 0.3655 0.9052 (multiplicity 24)
O 0.1086 0.8914 0.3914 (multiplicity 8)

Peak list (8 most intense, 10 to 90 degrees two-theta, in order of rising 2θ)
| h k l | d (Å) | I_rel |
| --- | --- | --- |
| 1 1 0 | 6.299 | 30 |
| 1 1 1 | 5.143 | 100 |
| 2 1 0 | 3.984 | 31 |
| 3 1 1 | 2.686 | 78 |
| 2 2 2 | 2.572 | 50 |
| 4 0 0 | 2.227 | 46 |
| 5 1 1 | 1.714 | 31 |
| 4 4 0 | 1.575 | 37 |

# 3
Theoretical powder diffractogram of AlZn2Tc for copper Kα, from DFT lattice parameters and positions (GGA-PBE).

Crystal structure
Cell: 6.1061 6.1061 6.1061 Å, 90.00 90.00 90.00°
Space group F-43m (No. 216)
Asymmetric unit:
Al 0.0000 0.0000 0.0000 (multiplicity 4)
Zn 0.0000 0.0000 0.5000 (multiplicity 4)
Zn 0.2500 0.2500 0.2500 (multiplicity 4)
Tc 0.2500 0.2500 0.7500 (multiplicity 4)

Peak list (8 most intense, 10 to 90 degrees two-theta, in order of rising 2θ)
| h k l | d (Å) | I_rel |
| --- | --- | --- |
| 1 1 1 | 3.525 | 10 |
| 2 0 0 | 3.053 | 10 |
| 2 2 0 | 2.159 | 100 |
| 3 1 1 | 1.841 | 5 |
| 2 2 2 | 1.763 | 3 |
| 4 0 0 | 1.527 | 16 |
| 4 2 0 | 1.365 | 3 |
| 4 2 2 | 1.246 | 31 |

What did the first record say?
Theoretical powder diffractogram of PrEr2Mg3InGa2 for copper Kα, from DFT lattice parameters and positions (GGA-PBE).

Crystal structure
Cell: 4.5810 12.8724 7.3105 Å, 90.00 90.00 90.00°
Space group Amm2 (No. 38)
Asymmetric unit:
Pr 0.0000 0.0000 0.0000 (multiplicity 2)
Er 0.0000 0.2192 0.3438 (multiplicity 4)
Mg 0.5000 0.0000 0.3119 (multiplicity 2)
Mg 0.5000 0.1244 0.6847 (multiplicity 4)
In 0.0000 0.0000 0.5521 (multiplicity 2)
Ga 0.5000 0.1712 0.0624 (multiplicity 4)

Peak list (8 most intense, 10 to 90 degrees two-theta, in order of rising 2θ)
| h k l | d (Å) | I_rel |
| --- | --- | --- |
| 1 0 0 | 4.581 | 37 |
| 0 4 0 | 3.218 | 20 |
| 0 2 2 | 3.178 | 35 |
| 1 3 1 | 2.879 | 37 |
| 1 0 2 | 2.857 | 23 |
| 1 4 0 | 2.633 | 47 |
| 1 2 2 | 2.611 | 100 |
| 2 0 0 | 2.291 | 31 |

Number 2 is which compound? Na3Ir3O8